Starting from a cell relaxed with PBE+U, the PXRD pattern of CaEuZrMnO6 was calculated for Cu Kα, 1.54184 Å.
Neutral-atom scattering factors, no anomalous dispersion.

Principal peaks in the range 5 to 70 degrees two-theta, sorted by position:
19.2 deg, d = 4.612 Å, intensity 29
31.7 deg, d = 2.824 Å, intensity 100
37.3 deg, d = 2.409 Å, intensity 18
45.4 deg, d = 1.997 Å, intensity 35
56.4 deg, d = 1.631 Å, intensity 38
66.2 deg, d = 1.412 Å, intensity 20

Structure:
Cell lengths 5.6485, 5.6485, 5.6485 Å; angles 60.00, 60.00, 60.00 degrees
Fractional positions:
Ca 0.0000 0.0000 0.0000
Eu 0.5000 0.5000 0.5000
Zr 0.7500 0.7500 0.7500
Mn 0.2500 0.2500 0.2500
O 0.0091 0.0091 0.4909
O 0.0091 0.4909 0.0091
O 0.0091 0.4909 0.4909
O 0.4909 0.0091 0.0091
O 0.4909 0.0091 0.4909
O 0.4909 0.4909 0.0091